(1)
# Na4ScNbSi3O12
Simulated powder X-ray diffraction pattern, a wavelength of 1.5418 Å. Input: a cell relaxed with PBE.
Neutral-atom scattering factors, no anomalous dispersion.

Top 8 peaks for 10° ≤ 2θ ≤ 90°, most intense first:
2θ = 19.31°, I = 100; 2θ = 30.79°, I = 97; 2θ = 33.69°, I = 60; 2θ = 46.27°, I = 37; 2θ = 13.61°, I = 30; 2θ = 27.43°, I = 28; 2θ = 58.45°, I = 24; 2θ = 22.66°, I = 23

Cell and atoms:
```
Na4ScNbSi3O12
1.0
4.6083 2.6606 7.4807
-4.6083 2.6606 7.4807
0.0000 -5.3213 7.4807
Na Sc Nb Si O
8 2 2 6 24
Direct
0.0000 0.0000 0.0000 Na
0.1266 0.3902 0.7394 Na
0.2394 0.8902 0.6266 Na
0.3902 0.7394 0.1266 Na
0.5000 0.5000 0.5000 Na
0.6266 0.2394 0.8902 Na
0.7394 0.1266 0.3902 Na
0.8902 0.6266 0.2394 Na
0.3566 0.3566 0.3566 Sc
0.8566 0.8566 0.8566 Sc
0.1518 0.1518 0.1518 Nb
0.6518 0.6518 0.6518 Nb
0.0496 0.7585 0.4626 Si
0.2585 0.5496 0.9626 Si
0.4626 0.0496 0.7585 Si
0.5496 0.9626 0.2585 Si
0.7585 0.4626 0.0496 Si
0.9626 0.2585 0.5496 Si
0.0011 0.2277 0.3647 O
0.0234 0.7885 0.6338 O
0.0606 0.9382 0.2806 O
0.0923 0.7309 0.9300 O
0.1338 0.2885 0.5234 O
0.2277 0.3647 0.0011 O
0.2309 0.5923 0.4300 O
0.2806 0.0606 0.9382 O
0.2885 0.5234 0.1338 O
0.3647 0.0011 0.2277 O
0.4300 0.2309 0.5923 O
0.4382 0.5606 0.7806 O
0.5011 0.8647 0.7277 O
0.5234 0.1338 0.2885 O
0.5606 0.7806 0.4382 O
0.5923 0.4300 0.2309 O
0.6338 0.0234 0.7885 O
0.7277 0.5011 0.8647 O
0.7309 0.9300 0.0923 O
0.7806 0.4382 0.5606 O
0.7885 0.6338 0.0234 O
0.8647 0.7277 0.5011 O
0.9300 0.0923 0.7309 O
0.9382 0.2806 0.0606 O
```



(2)
# LaBPt2
Simulated powder X-ray diffraction pattern, a wavelength of 1.5418 Å. Input: a cell relaxed with PBE.
Neutral-atom scattering factors, no anomalous dispersion.

Top 8 peaks for 10° ≤ 2θ ≤ 90°, most intense first:
2θ = 34.07°, I = 100; 2θ = 39.39°, I = 72; 2θ = 33.55°, I = 40; 2θ = 56.58°, I = 25; 2θ = 77.23°, I = 20; 2θ = 58.52°, I = 20; 2θ = 62.18°, I = 17; 2θ = 67.19°, I = 15

Cell and atoms:
```
LaBPt2
1.0
5.5729 0.0000 0.0000
-2.7865 4.8263 0.0000
0.0000 0.0000 8.0131
La B Pt
3 3 6
Direct
0.0000 0.5000 0.1667 La
0.5000 0.0000 0.5000 La
0.5000 0.5000 0.8333 La
0.0000 0.5000 0.6667 B
0.5000 0.0000 0.0000 B
0.5000 0.5000 0.3333 B
0.1542 0.3084 0.5000 Pt
0.1542 0.8458 0.8333 Pt
0.3084 0.1542 0.1667 Pt
0.6916 0.8458 0.1667 Pt
0.8458 0.1542 0.8333 Pt
0.8458 0.6916 0.5000 Pt
```



(3)
# ScAs2H4NO7
Simulated powder X-ray diffraction pattern, a wavelength of 1.5418 Å. Input: a cell relaxed with PBE.
Neutral-atom scattering factors, no anomalous dispersion.

Top 8 peaks for 10° ≤ 2θ ≤ 90°, most intense first:
2θ = 14.10°, I = 100; 2θ = 27.81°, I = 92; 2θ = 19.34°, I = 75; 2θ = 20.63°, I = 68; 2θ = 27.23°, I = 40; 2θ = 34.46°, I = 23; 2θ = 26.22°, I = 19; 2θ = 54.39°, I = 18

Cell and atoms:
```
ScAs2H4NO7
1.0
8.0439 0.0000 0.0000
0.0000 10.8569 0.0000
-2.6005 0.0000 8.6087
Sc As H N O
4 8 16 4 28
Direct
0.2386 0.1016 0.2594 Sc
0.2386 0.3984 0.7594 Sc
0.7614 0.6016 0.2406 Sc
0.7614 0.8984 0.7406 Sc
0.1336 0.0943 0.8314 As
0.1336 0.4057 0.3314 As
0.4365 0.1331 0.6864 As
0.4365 0.3669 0.1864 As
0.5635 0.6331 0.8136 As
0.5635 0.8669 0.3136 As
0.8664 0.5943 0.6686 As
0.8664 0.9057 0.1686 As
0.1026 0.7394 0.9867 H
0.1026 0.7606 0.4867 H
0.1077 0.6303 0.1224 H
0.1077 0.8697 0.6224 H
0.2208 0.6124 0.9933 H
0.2208 0.8876 0.4933 H
0.2897 0.7158 0.1363 H
0.2897 0.7842 0.6363 H
0.7103 0.2158 0.3637 H
0.7103 0.2842 0.8637 H
0.7792 0.1124 0.5067 H
0.7792 0.3876 0.0067 H
0.8923 0.1303 0.3776 H
0.8923 0.3697 0.8776 H
0.8974 0.2394 0.5133 H
0.8974 0.2606 0.0133 H
0.1803 0.6761 0.0602 N
0.1803 0.8239 0.5602 N
0.8197 0.1761 0.4398 N
0.8197 0.3239 0.9398 N
0.0067 0.0129 0.2735 O
0.0067 0.4871 0.7735 O
0.0857 0.2360 0.7494 O
0.0857 0.2640 0.2494 O
0.1520 0.0924 0.0222 O
0.1520 0.4076 0.5222 O
0.3113 0.1082 0.5025 O
0.3113 0.3918 0.0025 O
0.3394 0.0464 0.8105 O
0.3394 0.4536 0.3105 O
0.3619 0.5714 0.7749 O
0.3619 0.9286 0.2749 O
0.4528 0.2179 0.2494 O
0.4528 0.2821 0.7494 O
0.5472 0.7179 0.2506 O
0.5472 0.7821 0.7506 O
0.6381 0.0714 0.7251 O
0.6381 0.4286 0.2251 O
0.6606 0.5464 0.6895 O
0.6606 0.9536 0.1895 O
0.6887 0.6082 0.9975 O
0.6887 0.8918 0.4975 O
0.8480 0.5924 0.4778 O
0.8480 0.9076 0.9778 O
0.9143 0.7360 0.7506 O
0.9143 0.7640 0.2506 O
0.9933 0.5129 0.2265 O
0.9933 0.9871 0.7265 O
```



(4)
# YFeB4
Simulated powder X-ray diffraction pattern, a wavelength of 1.5418 Å. Input: a cell relaxed with PBE.
Neutral-atom scattering factors, no anomalous dispersion.

Top 8 peaks for 10° ≤ 2θ ≤ 90°, most intense first:
2θ = 41.44°, I = 100; 2θ = 31.40°, I = 79; 2θ = 26.35°, I = 58; 2θ = 38.76°, I = 43; 2θ = 47.44°, I = 30; 2θ = 44.35°, I = 27; 2θ = 27.97°, I = 19; 2θ = 64.03°, I = 19

Cell and atoms:
```
YFeB4
1.0
5.8865 0.0000 0.0000
0.0000 11.3877 0.0000
0.0000 0.0000 3.3820
Y Fe B
4 4 16
Direct
0.1260 0.1504 0.0000 Y
0.3740 0.6504 0.0000 Y
0.6260 0.3496 0.0000 Y
0.8740 0.8496 0.0000 Y
0.1329 0.4117 0.0000 Fe
0.3671 0.9117 0.0000 Fe
0.6329 0.0883 0.0000 Fe
0.8671 0.5883 0.0000 Fe
0.0245 0.6903 0.5000 B
0.1111 0.5458 0.5000 B
0.1389 0.9680 0.5000 B
0.2184 0.8165 0.5000 B
0.2816 0.3165 0.5000 B
0.3611 0.4680 0.5000 B
0.3889 0.0458 0.5000 B
0.4755 0.1903 0.5000 B
0.5245 0.8097 0.5000 B
0.6111 0.9542 0.5000 B
0.6389 0.5320 0.5000 B
0.7184 0.6835 0.5000 B
0.7816 0.1835 0.5000 B
0.8611 0.0320 0.5000 B
0.8889 0.4542 0.5000 B
0.9755 0.3097 0.5000 B
```



(5)
# BaGe4O9
Simulated powder X-ray diffraction pattern, a wavelength of 1.5418 Å. Input: a cell relaxed with PBE.
Neutral-atom scattering factors, no anomalous dispersion.

Top 8 peaks for 10° ≤ 2θ ≤ 90°, most intense first:
2θ = 23.83°, I = 100; 2θ = 32.18°, I = 88; 2θ = 30.32°, I = 67; 2θ = 50.11°, I = 29; 2θ = 48.77°, I = 25; 2θ = 44.79°, I = 23; 2θ = 53.86°, I = 23; 2θ = 29.63°, I = 21

Cell and atoms:
```
BaGe4O9
1.0
11.7933 0.0000 0.0000
-5.8966 10.2133 0.0000
0.0000 0.0000 4.8258
Ba Ge O
3 12 27
Direct
0.0000 0.6683 0.0000 Ba
0.3317 0.3317 0.0000 Ba
0.6683 0.0000 0.0000 Ba
0.0000 0.0000 0.0000 Ge
0.0000 0.1792 0.5000 Ge
0.1501 0.4875 0.4114 Ge
0.1792 0.0000 0.5000 Ge
0.3333 0.6667 0.9028 Ge
0.3374 0.8499 0.4114 Ge
0.4875 0.1501 0.5886 Ge
0.5125 0.6626 0.4114 Ge
0.6626 0.5125 0.5886 Ge
0.6667 0.3333 0.0972 Ge
0.8208 0.8208 0.5000 Ge
0.8499 0.3374 0.5886 Ge
0.0000 0.4826 0.5000 O
0.0640 0.9115 0.7649 O
0.0885 0.1525 0.7649 O
0.1129 0.3252 0.3107 O
0.1525 0.0885 0.2351 O
0.1815 0.5939 0.1287 O
0.2124 0.8871 0.3107 O
0.2502 0.7370 0.6784 O
0.2630 0.5132 0.6784 O
0.3252 0.1129 0.6893 O
0.4061 0.5877 0.1287 O
0.4123 0.8185 0.1287 O
0.4826 0.0000 0.5000 O
0.4868 0.7498 0.6784 O
0.5132 0.2630 0.3216 O
0.5174 0.5174 0.5000 O
0.5877 0.4061 0.8713 O
0.5939 0.1815 0.8713 O
0.6748 0.7876 0.3107 O
0.7370 0.2502 0.3216 O
0.7498 0.4868 0.3216 O
0.7876 0.6748 0.6893 O
0.8185 0.4123 0.8713 O
0.8475 0.9360 0.7649 O
0.8871 0.2124 0.6893 O
0.9115 0.0640 0.2351 O
0.9360 0.8475 0.2351 O
```



What did the fourth record say?
# YFeB4
Simulated powder X-ray diffraction pattern, a wavelength of 1.5418 Å. Input: a cell relaxed with PBE.
Neutral-atom scattering factors, no anomalous dispersion.

Top 8 peaks for 10° ≤ 2θ ≤ 90°, most intense first:
2θ = 41.44°, I = 100; 2θ = 31.40°, I = 79; 2θ = 26.35°, I = 58; 2θ = 38.76°, I = 43; 2θ = 47.44°, I = 30; 2θ = 44.35°, I = 27; 2θ = 27.97°, I = 19; 2θ = 64.03°, I = 19

Cell and atoms:
```
YFeB4
1.0
5.8865 0.0000 0.0000
0.0000 11.3877 0.0000
0.0000 0.0000 3.3820
Y Fe B
4 4 16
Direct
0.1260 0.1504 0.0000 Y
0.3740 0.6504 0.0000 Y
0.6260 0.3496 0.0000 Y
0.8740 0.8496 0.0000 Y
0.1329 0.4117 0.0000 Fe
0.3671 0.9117 0.0000 Fe
0.6329 0.0883 0.0000 Fe
0.8671 0.5883 0.0000 Fe
0.0245 0.6903 0.5000 B
0.1111 0.5458 0.5000 B
0.1389 0.9680 0.5000 B
0.2184 0.8165 0.5000 B
0.2816 0.3165 0.5000 B
0.3611 0.4680 0.5000 B
0.3889 0.0458 0.5000 B
0.4755 0.1903 0.5000 B
0.5245 0.8097 0.5000 B
0.6111 0.9542 0.5000 B
0.6389 0.5320 0.5000 B
0.7184 0.6835 0.5000 B
0.7816 0.1835 0.5000 B
0.8611 0.0320 0.5000 B
0.8889 0.4542 0.5000 B
0.9755 0.3097 0.5000 B
```